1.
Calculated PXRD pattern
Compound: Sr2RhO4
Radiation: Cu Kα (λ = 1.5418 Å)
Structure: a PBE-relaxed structure
Lines closer than 0.1° are merged.

Crystal structure
abc: 5.553 5.553 13.504
angles: 101.14 101.14 90.06
Element x y z (fractional)
Sr  0.043  0.794  0.602
Sr  0.206  0.957  0.898
Sr  0.290  0.543  0.102
Sr  0.457  0.710  0.398
Sr  0.543  0.290  0.602
Sr  0.710  0.457  0.898
Sr  0.794  0.043  0.102
Sr  0.957  0.206  0.398
Rh  0.126  0.375  0.750
Rh  0.375  0.126  0.250
Rh  0.625  0.874  0.750
Rh  0.874  0.625  0.250
O  0.063  0.294  0.590
O  0.073  0.927  0.250
O  0.182  0.431  0.261
O  0.191  0.459  0.910
O  0.294  0.063  0.090
O  0.322  0.678  0.750
O  0.431  0.182  0.761
O  0.459  0.191  0.410
O  0.541  0.809  0.590
O  0.569  0.818  0.239
O  0.678  0.322  0.250
O  0.706  0.937  0.910
O  0.809  0.541  0.090
O  0.818  0.569  0.739
O  0.927  0.073  0.750
O  0.937  0.706  0.410

Peak list (8 most intense, 2θ from 10° to 90°, low angle first)
d_spacing, 2theta, Rel. int.
6.495, 13.63, 29.5
2.934, 30.47, 39.5
2.909, 30.73, 75.0
2.882, 31.03, 34.6
2.776, 32.24, 100.0
2.165, 41.71, 35.8
1.963, 46.25, 47.0
1.718, 53.33, 19.0

---

2.
Calculated PXRD pattern
Compound: SrRhO3
Radiation: Cu Kα (λ = 1.5418 Å)
Structure: a PBE-relaxed structure
Lines closer than 0.1° are merged.

Crystal structure
abc: 5.669 7.968 5.580
angles: 90.00 90.00 90.00
Element x y z (fractional)
Sr  0.045  0.250  0.008
Sr  0.455  0.750  0.508
Sr  0.545  0.250  0.492
Sr  0.955  0.750  0.992
Rh  0.000  0.000  0.500
Rh  0.000  0.500  0.500
Rh  0.500  0.000  0.000
Rh  0.500  0.500  0.000
O  0.013  0.750  0.427
O  0.205  0.538  0.797
O  0.205  0.962  0.797
O  0.295  0.038  0.297
O  0.295  0.462  0.297
O  0.487  0.250  0.927
O  0.513  0.750  0.073
O  0.705  0.538  0.703
O  0.705  0.962  0.703
O  0.795  0.038  0.203
O  0.795  0.462  0.203
O  0.987  0.250  0.573

Peak list (8 most intense, 2θ from 10° to 90°, low angle first)
d_spacing, 2theta, Rel. int.
2.834, 31.57, 24.3
2.814, 31.80, 100.0
2.790, 32.08, 25.2
1.990, 45.59, 42.5
1.633, 56.36, 15.9
1.621, 56.79, 11.1
1.615, 57.01, 22.8
1.407, 66.44, 15.2

---

3.
Calculated PXRD pattern
Compound: Sr3Rh16O32
Radiation: Cu Kα (λ = 1.5418 Å)
Structure: a PBE-relaxed structure
Lines closer than 0.1° are merged.

Crystal structure
abc: 8.201 8.753 9.869
angles: 66.91 72.38 77.30
Element x y z (fractional)
Sr  0.000  0.000  0.000
Sr  0.312  0.311  0.688
Sr  0.633  0.632  0.369
Rh  0.022  0.297  0.168
Rh  0.134  0.858  0.678
Rh  0.198  0.876  0.305
Rh  0.207  0.528  0.293
Rh  0.272  0.548  0.919
Rh  0.384  0.108  0.427
Rh  0.447  0.127  0.053
Rh  0.458  0.779  0.041
Rh  0.520  0.798  0.669
Rh  0.633  0.357  0.177
Rh  0.698  0.378  0.802
Rh  0.705  0.029  0.791
Rh  0.772  0.046  0.417
Rh  0.883  0.609  0.928
Rh  0.950  0.627  0.553
Rh  0.956  0.277  0.544
O  0.073  0.742  0.910
O  0.084  0.415  0.934
O  0.190  0.104  0.134
O  0.197  0.438  0.143
O  0.200  0.774  0.150
O  0.208  0.966  0.453
O  0.210  0.627  0.448
O  0.214  0.299  0.461
O  0.322  0.994  0.660
O  0.333  0.663  0.685
O  0.441  0.355  0.885
O  0.444  0.028  0.897
O  0.447  0.689  0.893
O  0.456  0.880  0.196
O  0.458  0.216  0.202
O  0.465  0.550  0.211
O  0.573  0.240  0.410
O  0.582  0.912  0.436
O  0.692  0.607  0.633
O  0.695  0.277  0.649
O  0.696  0.939  0.642
O  0.705  0.132  0.945
O  0.709  0.467  0.952
O  0.713  0.801  0.958
O  0.821  0.490  0.161
O  0.834  0.164  0.184
O  0.943  0.855  0.387
O  0.946  0.188  0.393
O  0.948  0.523  0.401
O  0.960  0.378  0.697
O  0.960  0.716  0.703
O  0.963  0.049  0.714

Peak list (8 most intense, 2θ from 10° to 90°, low angle first)
d_spacing, 2theta, Rel. int.
4.660, 19.05, 49.9
3.192, 27.95, 70.2
3.059, 29.19, 65.9
2.616, 34.28, 67.4
2.550, 35.19, 100.0
2.489, 36.08, 68.8
1.816, 50.25, 34.8
1.596, 57.75, 39.0

---

4.
Calculated PXRD pattern
Compound: SrRhO3
Radiation: Cu Kα (λ = 1.5418 Å)
Structure: a PBE-relaxed structure
Lines closer than 0.1° are merged.

Crystal structure
abc: 4.004 4.004 4.004
angles: 90.00 90.00 90.00
Element x y z (fractional)
Sr  0.000  0.000  0.000
Rh  0.500  0.500  0.500
O  0.000  0.500  0.500
O  0.500  0.000  0.500
O  0.500  0.500  0.000

Peak list (8 most intense, 2θ from 10° to 90°, low angle first)
d_spacing, 2theta, Rel. int.
4.004, 22.20, 5.2
2.832, 31.60, 100.0
2.002, 45.29, 33.4
1.791, 51.00, 1.7
1.635, 56.27, 39.1
1.416, 65.98, 20.0
1.266, 75.00, 16.9
1.156, 83.65, 6.7

---

5.
Calculated PXRD pattern
Compound: Sr3TbRhO6
Radiation: Cu Kα (λ = 1.5418 Å)
Structure: a PBE-relaxed structure
Lines closer than 0.1° are merged.

Crystal structure
abc: 6.868 6.868 6.868
angles: 92.09 92.09 92.09
Element x y z (fractional)
Sr  0.119  0.750  0.381
Sr  0.250  0.619  0.881
Sr  0.381  0.119  0.750
Sr  0.619  0.881  0.250
Sr  0.750  0.381  0.119
Sr  0.881  0.250  0.619
Tb  0.250  0.250  0.250
Tb  0.750  0.750  0.750
Rh  0.000  0.000  0.000
Rh  0.500  0.500  0.500
O  0.045  0.910  0.708
O  0.090  0.292  0.955
O  0.208  0.410  0.545
O  0.292  0.955  0.090
O  0.410  0.545  0.208
O  0.455  0.792  0.590
O  0.545  0.208  0.410
O  0.590  0.455  0.792
O  0.708  0.045  0.910
O  0.792  0.590  0.455
O  0.910  0.708  0.045
O  0.955  0.090  0.292

Peak list (8 most intense, 2θ from 10° to 90°, low angle first)
d_spacing, 2theta, Rel. int.
4.945, 17.94, 44.7
3.022, 29.56, 42.0
2.855, 31.33, 100.0
2.380, 37.79, 32.9
2.145, 42.13, 38.7
2.075, 43.61, 25.0
1.648, 55.77, 17.0
1.620, 56.83, 27.8

---

6.
Calculated PXRD pattern
Compound: Sr3ZnRhO6
Radiation: Cu Kα (λ = 1.5418 Å)
Structure: a PBE-relaxed structure
Lines closer than 0.1° are merged.

Crystal structure
abc: 6.746 6.746 6.746
angles: 91.93 91.93 91.93
Element x y z (fractional)
Sr  0.114  0.750  0.386
Sr  0.250  0.614  0.886
Sr  0.386  0.114  0.750
Sr  0.614  0.886  0.250
Sr  0.750  0.386  0.114
Sr  0.886  0.250  0.614
Zn  0.250  0.250  0.250
Zn  0.750  0.750  0.750
Rh  0.000  0.000  0.000
Rh  0.500  0.500  0.500
O  0.041  0.908  0.714
O  0.092  0.286  0.959
O  0.214  0.408  0.541
O  0.286  0.959  0.092
O  0.408  0.541  0.214
O  0.459  0.786  0.592
O  0.541  0.214  0.408
O  0.592  0.459  0.786
O  0.714  0.041  0.908
O  0.786  0.592  0.459
O  0.908  0.714  0.041
O  0.959  0.092  0.286

Peak list (8 most intense, 2θ from 10° to 90°, low angle first)
d_spacing, 2theta, Rel. int.
4.850, 18.29, 14.1
2.972, 30.07, 63.9
2.800, 31.96, 100.0
2.342, 38.44, 23.6
2.109, 42.88, 27.8
2.038, 44.45, 38.4
1.617, 56.96, 15.1
1.591, 57.95, 22.6

---

7.
Calculated PXRD pattern
Compound: TaRhO4
Radiation: Cu Kα (λ = 1.5418 Å)
Structure: a PBE-relaxed structure
Lines closer than 0.1° are merged.

Crystal structure
abc: 4.697 4.697 3.144
angles: 90.00 90.00 90.62
Element x y z (fractional)
Ta  0.000  0.000  0.000
Rh  0.500  0.500  0.500
O  0.191  0.809  0.500
O  0.301  0.301  0.000
O  0.699  0.699  0.000
O  0.809  0.191  0.500

Peak list (8 most intense, 2θ from 10° to 90°, low angle first)
d_spacing, 2theta, Rel. int.
4.697, 18.89, 16.5
3.340, 26.69, 60.7
3.304, 26.99, 58.1
2.613, 34.32, 100.0
2.349, 38.32, 29.7
1.752, 52.21, 40.2
1.741, 52.55, 38.5
1.402, 66.74, 22.6

---

8.
Calculated PXRD pattern
Compound: TbRhO3
Radiation: Cu Kα (λ = 1.5418 Å)
Structure: a PBE-relaxed structure
Lines closer than 0.1° are merged.

Crystal structure
abc: 5.833 7.679 5.291
angles: 90.00 90.00 90.00
Element x y z (fractional)
Tb  0.085  0.250  0.031
Tb  0.415  0.750  0.531
Tb  0.585  0.250  0.469
Tb  0.915  0.750  0.969
Rh  0.000  0.000  0.500
Rh  0.000  0.500  0.500
Rh  0.500  0.000  0.000
Rh  0.500  0.500  0.000
O  0.051  0.750  0.366
O  0.191  0.562  0.823
O  0.191  0.938  0.823
O  0.309  0.062  0.323
O  0.309  0.438  0.323
O  0.449  0.250  0.866
O  0.551  0.750  0.134
O  0.691  0.562  0.677
O  0.691  0.938  0.677
O  0.809  0.062  0.177
O  0.809  0.438  0.177
O  0.949  0.250  0.634

Peak list (8 most intense, 2θ from 10° to 90°, low angle first)
d_spacing, 2theta, Rel. int.
3.491, 25.52, 22.1
2.916, 30.65, 17.1
2.743, 32.65, 100.0
2.726, 32.85, 13.8
2.646, 33.88, 23.7
1.776, 51.47, 15.0
1.554, 59.46, 16.1
1.545, 59.85, 19.2